The following is a computed PXRD pattern of Ba3PuS5. It was derived from a cell relaxed with GGA-PBE, using a wavelength of 1.5418 Å.

Principal peaks in the range 10° ≤ 2θ ≤ 90°, in order of rising 2θ:
- 14.6 deg, d 6.063, intensity 22
- 23.5 deg, d 3.780, intensity 34
- 23.9 deg, d 3.727, intensity 100
- 29.3 deg, d 3.052, intensity 48
- 29.5 deg, d 3.031, intensity 30
- 31.6 deg, d 2.835, intensity 25
- 35.2 deg, d 2.552, intensity 22
- 38.1 deg, d 2.365, intensity 25
- 41.6 deg, d 2.172, intensity 25
- 43.9 deg, d 2.062, intensity 23

Crystal structure
```
18
Lattice="-4.287 4.287 7.559 4.287 -4.287 7.559 4.287 4.287 -7.559" Properties=species:S:1:pos:R:3 pbc="T T T"
Ba 5.670 1.383 0.000
Ba 0.000 0.000 3.780
Ba 1.383 2.904 0.000
Ba 2.904 1.383 7.559
Ba 0.000 0.000 11.339
Ba -1.383 2.904 7.559
Pu 4.287 0.000 3.780
Pu 0.000 4.287 3.780
S 0.000 0.000 0.000
S 2.908 1.379 -2.178
S 2.908 -1.379 5.382
S 2.908 1.379 2.178
S 2.908 -1.379 9.737
S 0.000 0.000 7.559
S 1.379 5.666 -2.178
S 1.379 2.908 5.382
S 1.379 5.666 2.178
S 1.379 2.908 9.737
```

---

The following is a computed PXRD pattern of Ba2Pu3S8. It was derived from a cell relaxed with GGA-PBE, using a wavelength of 1.5418 Å.

Principal peaks in the range 10° ≤ 2θ ≤ 90°, in order of rising 2θ:
- 12.2 deg, d 7.252, intensity 100
- 24.6 deg, d 3.623, intensity 47
- 25.4 deg, d 3.513, intensity 72
- 27.5 deg, d 3.240, intensity 22
- 30.9 deg, d 2.898, intensity 52
- 35.0 deg, d 2.562, intensity 21
- 39.8 deg, d 2.264, intensity 31
- 43.3 deg, d 2.091, intensity 41
- 45.1 deg, d 2.009, intensity 29
- 50.4 deg, d 1.811, intensity 22

Crystal structure
```
26
Lattice="8.363 0.000 0.000 -4.181 7.243 0.000 0.000 0.000 14.504" Properties=species:S:1:pos:R:3 pbc="T T T"
Ba 0.000 4.828 0.000
Ba 0.000 4.828 4.276
Ba 4.181 2.414 7.252
Ba 4.181 2.414 11.528
Pu 0.000 2.427 10.519
Pu -2.080 6.029 10.519
Pu 2.101 1.213 3.267
Pu 2.080 6.029 10.519
Pu 6.261 1.213 3.267
Pu 4.181 4.816 3.267
S 0.000 0.000 4.540
S 0.000 0.000 11.792
S -1.685 3.855 12.048
S 0.000 2.407 2.085
S -2.097 6.039 2.085
S 2.084 1.203 9.336
S 0.000 4.828 9.166
S 1.685 3.855 12.048
S 0.000 6.775 12.048
S 4.181 0.468 4.796
S 2.496 3.387 4.796
S 4.181 2.414 1.914
S 2.097 6.039 2.085
S 6.279 1.203 9.336
S 4.181 4.836 9.336
S 5.867 3.387 4.796
```

---

The following is a computed PXRD pattern of Ba2SmPuS6. It was derived from a cell relaxed with GGA-PBE, using a wavelength of 1.5418 Å.

Principal peaks in the range 10° ≤ 2θ ≤ 90°, in order of rising 2θ:
- 17.0 deg, d 5.213, intensity 18
- 23.6 deg, d 3.765, intensity 23
- 24.2 deg, d 3.684, intensity 100
- 24.6 deg, d 3.619, intensity 24
- 34.4 deg, d 2.609, intensity 31
- 34.5 deg, d 2.600, intensity 19
- 41.9 deg, d 2.158, intensity 16
- 42.8 deg, d 2.112, intensity 14
- 43.0 deg, d 2.102, intensity 29
- 49.5 deg, d 1.842, intensity 19

Crystal structure
```
20
Lattice="7.238 0.000 0.000 0.000 7.530 0.000 -7.216 0.000 10.401" Properties=species:S:1:pos:R:3 pbc="T T T"
Ba -0.119 0.469 2.603
Ba -3.727 3.296 7.804
Ba 3.749 4.234 2.597
Ba 0.141 7.060 7.798
Sm 3.619 0.000 0.000
Sm 0.011 3.765 5.201
Pu -3.608 0.000 5.201
Pu 0.000 3.765 0.000
S -5.815 1.592 9.914
S -2.207 2.172 4.713
S -5.121 5.245 9.931
S -1.513 6.050 4.731
S -2.975 0.166 7.718
S 0.633 3.599 2.518
S -0.611 3.930 7.883
S 2.997 7.364 2.683
S 1.535 1.480 5.670
S 5.143 2.285 0.470
S 2.229 5.357 5.688
S 5.837 5.937 0.487
```

---

The following is a computed PXRD pattern of Ba3PuSb6. It was derived from a cell relaxed with GGA-PBE, using a wavelength of 1.5418 Å.

Principal peaks in the range 10° ≤ 2θ ≤ 90°, in order of rising 2θ:
- 20.1 deg, d 4.409, intensity 15
- 28.2 deg, d 3.159, intensity 63
- 30.6 deg, d 2.924, intensity 100
- 30.8 deg, d 2.906, intensity 55
- 38.6 deg, d 2.332, intensity 15
- 39.3 deg, d 2.291, intensity 15
- 40.7 deg, d 2.219, intensity 20
- 45.1 deg, d 2.008, intensity 22
- 48.5 deg, d 1.877, intensity 15
- 58.2 deg, d 1.586, intensity 17

Crystal structure
```
20
Lattice="6.768 3.908 4.461 -6.768 3.908 4.461 0.000 -7.815 4.461" Properties=species:S:1:pos:R:3 pbc="T T T"
Ba -3.845 1.156 5.576
Ba -2.924 -2.752 7.806
Ba 0.921 -3.908 5.576
Ba -0.921 3.908 7.806
Ba 2.924 2.752 5.576
Ba 3.845 -1.156 7.806
Pu 0.000 0.000 0.000
Pu 0.000 0.000 6.691
Sb -0.486 -2.488 2.089
Sb -1.912 1.665 2.089
Sb -1.912 -1.665 4.602
Sb 2.397 0.823 2.089
Sb -0.486 2.488 4.602
Sb 2.397 -0.823 4.602
Sb -2.397 0.823 8.780
Sb 0.486 -2.488 8.780
Sb -2.397 -0.823 11.293
Sb 1.912 1.665 8.780
Sb 1.912 -1.665 11.293
Sb 0.486 2.488 11.293
```

---

The following is a computed PXRD pattern of BaPu2Se4. It was derived from a cell relaxed with GGA-PBE, using a wavelength of 1.5418 Å.

Principal peaks in the range 10° ≤ 2θ ≤ 90°, in order of rising 2θ:
- 12.4 deg, d 7.127, intensity 34
- 22.7 deg, d 3.913, intensity 100
- 28.5 deg, d 3.127, intensity 37
- 29.2 deg, d 3.055, intensity 65
- 31.2 deg, d 2.864, intensity 66
- 38.5 deg, d 2.337, intensity 49
- 42.3 deg, d 2.136, intensity 32
- 43.5 deg, d 2.081, intensity 39
- 43.8 deg, d 2.067, intensity 28
- 48.6 deg, d 1.875, intensity 23

Crystal structure
```
14
Lattice="2.136 -6.885 0.000 2.136 6.885 0.000 0.000 0.000 14.254" Properties=species:S:1:pos:R:3 pbc="T T T"
Ba 2.136 5.383 10.691
Ba 2.136 -5.383 3.564
Pu 2.136 1.837 8.027
Pu 2.136 1.837 13.355
Pu 2.136 -1.837 0.900
Pu 2.136 -1.837 6.228
Se 0.000 0.000 0.000
Se 0.000 0.000 7.127
Se 2.136 3.233 1.614
Se 2.136 3.233 5.513
Se 2.136 0.916 10.691
Se 2.136 -0.916 3.564
Se 2.136 -3.233 8.741
Se 2.136 -3.233 12.640
```

---

The following is a computed PXRD pattern of Ba2Pu2Se5. It was derived from a cell relaxed with GGA-PBE, using a wavelength of 1.5418 Å.

Principal peaks in the range 10° ≤ 2θ ≤ 90°, in order of rising 2θ:
- 16.1 deg, d 5.512, intensity 34
- 21.7 deg, d 4.088, intensity 43
- 23.4 deg, d 3.805, intensity 100
- 23.8 deg, d 3.735, intensity 80
- 30.2 deg, d 2.959, intensity 30
- 32.5 deg, d 2.756, intensity 71
- 34.1 deg, d 2.630, intensity 36
- 35.3 deg, d 2.540, intensity 30
- 41.7 deg, d 2.168, intensity 30
- 47.8 deg, d 1.903, intensity 29

Crystal structure
```
18
Lattice="-10.520 4.088 3.732 10.520 -4.088 3.732 10.520 4.088 -3.732" Properties=species:S:1:pos:R:3 pbc="T T T"
Ba 2.177 0.287 0.000
Ba 8.343 0.287 0.000
Ba 2.177 3.801 3.732
Ba 8.343 3.801 3.732
Pu 5.260 -0.642 3.386
Pu 0.000 4.088 0.078
Pu 0.000 0.000 3.810
Pu 5.260 4.730 -0.346
Se 10.910 2.083 -1.820
Se 10.130 -2.005 1.912
Se 15.780 0.758 0.541
Se 2.834 3.465 0.267
Se 7.686 3.465 0.267
Se -0.390 2.005 1.912
Se 10.910 2.005 1.912
Se 2.834 0.623 3.999
Se 7.686 0.623 3.999
Se -5.260 3.330 4.273
```